[1]
K3Zn2PbF9: theoretical X-ray diffraction stick pattern (a wavelength of 1.5418 Å), based on DFT lattice parameters and positions (PBE).
Neutral-atom scattering factors, no anomalous dispersion.

Atomic structure:
```
15
Lattice="6.021 0.000 0.000 -3.010 5.214 0.000 0.000 0.000 7.949" Properties=species:S:1:pos:R:3 pbc="T T T"
K 0.000 0.000 0.000
K 0.000 3.476 5.756
K 3.010 1.738 2.193
Zn 0.000 3.476 1.212
Zn 3.010 1.738 6.737
Pb 0.000 0.000 3.975
F -1.505 2.607 0.000
F 0.000 1.805 2.364
F -1.447 4.312 2.364
F 1.563 0.903 5.585
F 3.010 0.000 0.000
F 1.505 2.607 0.000
F 1.447 4.312 2.364
F 4.458 0.903 5.585
F 3.010 3.409 5.585
```

The 6 most intense peaks (2θ = 5–70°), in order of falling intensity:
20.4°, d 4.360, I = 100
28.2°, d 3.161, I = 78
29.7°, d 3.010, I = 64
41.4°, d 2.180, I = 63
51.8°, d 1.766, I = 27
45.6°, d 1.989, I = 27

[2]
K2Pd2F7: theoretical X-ray diffraction stick pattern (a wavelength of 1.5418 Å), based on DFT lattice parameters and positions (PBE).
Neutral-atom scattering factors, no anomalous dispersion.

Atomic structure:
```
22
Lattice="4.307 0.000 0.000 0.000 13.592 0.000 -0.137 0.000 6.742" Properties=species:S:1:pos:R:3 pbc="T T T"
K 0.681 1.813 3.086
K 0.613 4.984 6.457
K 3.557 8.609 0.285
K 3.489 11.780 3.657
Pd 1.478 8.012 3.777
Pd 1.547 12.377 0.406
Pd 2.623 1.216 6.336
Pd 2.691 5.581 2.965
F 0.000 0.000 0.000
F -0.069 6.796 3.371
F 1.119 2.390 5.883
F 1.187 4.406 2.512
F 1.312 7.534 5.678
F 1.380 12.855 2.307
F 1.464 8.672 1.930
F 1.395 11.716 5.301
F 2.774 1.876 1.441
F 2.706 4.920 4.812
F 2.790 0.738 4.435
F 2.858 6.058 1.064
F 2.983 9.186 4.230
F 3.051 11.202 0.859
```

The 6 most intense peaks (2θ = 5–70°), in order of falling intensity:
14.7°, d 6.040, I = 100
27.7°, d 3.224, I = 66
25.6°, d 3.476, I = 43
13.0°, d 6.796, I = 41
26.2°, d 3.398, I = 40
28.6°, d 3.121, I = 35

[3]
K3PdF8: theoretical X-ray diffraction stick pattern (a wavelength of 1.5418 Å), based on DFT lattice parameters and positions (PBE).
Neutral-atom scattering factors, no anomalous dispersion.

Atomic structure:
```
12
Lattice="-2.963 2.963 5.729 2.963 -2.963 5.729 2.963 2.963 -5.729" Properties=species:S:1:pos:R:3 pbc="T T T"
K 0.000 0.000 0.000
K 2.963 0.000 2.864
K 0.000 2.963 2.864
Pd 0.000 0.000 5.729
F 1.752 1.752 -1.211
F 1.212 -1.212 4.518
F 1.752 1.752 1.211
F 1.212 -1.212 6.939
F -1.212 1.212 4.518
F 1.212 1.212 4.518
F -1.212 1.212 6.939
F 1.212 1.212 6.939
```

The 6 most intense peaks (2θ = 5–70°), in order of falling intensity:
26.3°, d 3.382, I = 100
16.8°, d 5.264, I = 56
44.0°, d 2.060, I = 50
51.3°, d 1.781, I = 26
43.2°, d 2.096, I = 26
15.5°, d 5.729, I = 18

[4]
KPd4F12: theoretical X-ray diffraction stick pattern (a wavelength of 1.5418 Å), based on DFT lattice parameters and positions (PBE).
Neutral-atom scattering factors, no anomalous dispersion.

Atomic structure:
```
17
Lattice="-4.038 4.038 4.038 4.038 -4.038 4.038 4.038 4.038 -4.038" Properties=species:S:1:pos:R:3 pbc="T T T"
K 0.000 0.000 0.000
Pd 2.019 2.019 -2.019
Pd 2.019 -2.019 2.019
Pd -2.019 2.019 2.019
Pd 2.019 2.019 2.019
F 4.038 -1.786 2.383
F 2.252 1.655 0.000
F 5.824 1.655 0.000
F 2.383 4.038 -1.786
F 1.655 0.000 2.252
F 0.000 2.252 1.655
F 4.038 1.786 2.383
F 2.383 4.038 1.786
F 1.655 0.000 5.824
F -1.786 2.383 4.038
F 1.786 2.383 4.038
F 0.000 5.824 1.655
```

The 6 most intense peaks (2θ = 5–70°), in order of falling intensity:
22.0°, d 4.038, I = 100
31.3°, d 2.855, I = 60
50.5°, d 1.806, I = 41
55.8°, d 1.649, I = 30
44.9°, d 2.019, I = 28
69.9°, d 1.346, I = 17

[5]
KZrPdF7: theoretical X-ray diffraction stick pattern (a wavelength of 1.5418 Å), based on DFT lattice parameters and positions (PBE).
Neutral-atom scattering factors, no anomalous dispersion.

Atomic structure:
```
40
Lattice="11.602 0.000 0.000 0.000 8.128 0.000 0.000 0.000 6.518" Properties=species:S:1:pos:R:3 pbc="T T T"
K 2.900 0.000 1.503
K 2.900 4.064 1.756
K 8.701 0.000 5.015
K 8.701 4.064 4.762
Zr 1.066 2.032 4.888
Zr 4.735 6.096 4.888
Zr 6.867 2.032 1.629
Zr 10.536 6.096 1.629
Pd 1.154 6.096 4.888
Pd 4.647 2.032 4.888
Pd 6.955 6.096 1.629
Pd 10.448 2.032 1.629
F 0.531 1.463 2.920
F 0.531 2.601 0.339
F 0.959 6.096 1.629
F 1.225 0.089 5.559
F 1.225 3.976 4.218
F 2.842 1.675 3.690
F 2.842 2.389 6.086
F 2.959 5.739 6.086
F 2.959 6.453 3.690
F 4.576 4.153 4.218
F 4.576 8.040 5.559
F 4.842 2.032 1.629
F 5.270 5.527 0.339
F 5.270 6.665 2.920
F 6.332 1.463 3.598
F 6.332 2.601 6.179
F 6.760 6.096 4.888
F 7.026 0.089 0.959
F 7.026 3.976 2.300
F 8.643 1.675 2.827
F 8.643 2.389 0.431
F 8.760 5.739 0.431
F 8.760 6.453 2.827
F 10.376 4.153 2.300
F 10.376 8.040 0.959
F 10.642 2.032 4.888
F 11.071 5.527 6.179
F 11.071 6.665 3.598
```

The 6 most intense peaks (2θ = 5–70°), in order of falling intensity:
26.8°, d 3.326, I = 100
27.0°, d 3.306, I = 63
21.9°, d 4.064, I = 58
15.6°, d 5.682, I = 57
47.6°, d 1.912, I = 38
27.4°, d 3.259, I = 37

[6]
KZrPdF6: theoretical X-ray diffraction stick pattern (a wavelength of 1.5418 Å), based on DFT lattice parameters and positions (PBE).
Neutral-atom scattering factors, no anomalous dispersion.

Atomic structure:
```
9
Lattice="5.589 0.000 0.000 -0.166 5.855 0.000 -0.206 -2.611 5.298" Properties=species:S:1:pos:R:3 pbc="T T T"
K 0.000 0.000 0.000
Zr 2.556 2.922 1.813
Pd 2.618 0.077 3.678
F 1.086 3.557 0.617
F 1.555 1.086 1.962
F 1.535 3.832 3.376
F 3.658 1.956 0.330
F 3.709 2.099 3.341
F 3.780 4.473 1.540
```

The 6 most intense peaks (2θ = 5–70°), in order of falling intensity:
15.9°, d 5.579, I = 100
23.9°, d 3.720, I = 44
23.8°, d 3.739, I = 40
45.5°, d 1.994, I = 38
32.1°, d 2.787, I = 37
28.7°, d 3.106, I = 28

[7]
K3PmF7: theoretical X-ray diffraction stick pattern (a wavelength of 1.5418 Å), based on DFT lattice parameters and positions (PBE).
Neutral-atom scattering factors, no anomalous dispersion.

Atomic structure:
```
11
Lattice="4.597 -4.489 0.000 4.597 4.489 0.000 -4.435 0.000 5.220" Properties=species:S:1:pos:R:3 pbc="T T T"
K 0.000 0.000 0.000
K 2.151 2.021 2.929
K 2.151 -2.021 2.929
Pm 4.615 0.000 0.620
F -0.242 1.698 4.253
F 4.460 2.224 1.414
F 2.429 0.000 1.176
F -0.242 -1.698 4.253
F 2.165 0.000 4.755
F 5.680 0.000 2.632
F 4.460 -2.224 1.414
```

The 6 most intense peaks (2θ = 5–70°), in order of falling intensity:
26.2°, d 3.401, I = 100
16.0°, d 5.524, I = 67
16.4°, d 5.418, I = 38
25.4°, d 3.504, I = 30
44.2°, d 2.047, I = 26
48.2°, d 1.888, I = 25

[8]
K3PmF6: theoretical X-ray diffraction stick pattern (a wavelength of 1.5418 Å), based on DFT lattice parameters and positions (PBE).
Neutral-atom scattering factors, no anomalous dispersion.

Atomic structure:
```
20
Lattice="6.478 0.000 0.000 0.000 6.713 0.000 -6.245 0.000 9.240" Properties=species:S:1:pos:R:3 pbc="T T T"
K 0.000 0.000 0.000
K -3.123 3.357 4.620
K -3.203 0.355 6.850
K -0.081 3.002 2.230
K 0.314 3.711 7.010
K 3.436 6.358 2.390
Pm 0.116 0.000 4.620
Pm 3.239 3.357 0.000
F -1.717 1.229 4.117
F -4.839 2.128 8.738
F -1.041 4.897 3.863
F -4.164 5.173 8.483
F 0.896 0.466 2.532
F -2.227 2.891 7.152
F 2.460 3.822 2.088
F -0.663 6.247 6.708
F 4.397 1.540 0.757
F 1.274 1.816 5.377
F 5.072 4.585 0.503
F 1.950 5.484 5.123
```

The 6 most intense peaks (2θ = 5–70°), in order of falling intensity:
26.9°, d 3.311, I = 100
27.4°, d 3.252, I = 94
16.3°, d 5.431, I = 91
19.0°, d 4.661, I = 69
38.6°, d 2.330, I = 58
16.9°, d 5.242, I = 42

[9]
KPm2F6: theoretical X-ray diffraction stick pattern (a wavelength of 1.5418 Å), based on DFT lattice parameters and positions (PBE).
Neutral-atom scattering factors, no anomalous dispersion.

Atomic structure:
```
9
Lattice="-2.069 2.069 8.994 2.069 -2.069 8.994 2.069 2.069 -8.994" Properties=species:S:1:pos:R:3 pbc="T T T"
K 0.000 0.000 0.000
Pm 0.000 0.000 6.062
Pm 0.000 0.000 11.927
F 2.069 0.000 1.901
F 2.069 0.000 4.497
F 2.069 0.000 7.093
F 0.000 2.069 1.901
F 0.000 2.069 4.497
F 0.000 2.069 7.093
```

The 6 most intense peaks (2θ = 5–70°), in order of falling intensity:
26.2°, d 3.405, I = 100
43.2°, d 2.094, I = 40
51.7°, d 1.768, I = 30
9.8°, d 8.994, I = 26
43.8°, d 2.069, I = 22
22.0°, d 4.032, I = 16